1.
YCu3Sn4O12: calculated XRD peak list (Cu Kα (λ = 1.5418 Å)), based on a crystal structure in Alexandria, relaxed with GGA-PBE.
Peak positions follow from Bragg's law for the DFT cell and can differ from measured ones.

Principal peaks in the range 2θ from 15° to 90°, low angle first:
- d = 3.896 Å, 22.83°, intensity 10
- d = 2.755 Å, 32.50°, intensity 100
- d = 1.948 Å, 46.63°, intensity 25
- d = 1.590 Å, 57.99°, intensity 49
- d = 1.377 Å, 68.07°, intensity 13
- d = 1.232 Å, 77.48°, intensity 18

Crystal structure
Lattice parameters (Å, degrees): 6.748 6.748 6.748 109.47 109.47 109.47
Atoms (fractional coordinates):
Y (0.000, 0.000, 0.000)
Cu (0.000, 0.500, 0.500)
Cu (0.500, 0.000, 0.500)
Cu (0.500, 0.500, 0.000)
Sn (0.000, 0.000, 0.500)
Sn (0.000, 0.500, 0.000)
Sn (0.500, 0.000, 0.000)
Sn (0.500, 0.500, 0.500)
O (0.130, 0.832, 0.297)
O (0.168, 0.297, 0.465)
O (0.168, 0.703, 0.870)
O (0.297, 0.130, 0.832)
O (0.297, 0.465, 0.168)
O (0.465, 0.168, 0.297)
O (0.535, 0.832, 0.703)
O (0.703, 0.535, 0.832)
O (0.703, 0.870, 0.168)
O (0.832, 0.297, 0.130)
O (0.832, 0.703, 0.535)
O (0.870, 0.168, 0.703)



2.
HoEr2Tm9: calculated XRD peak list (Cu Kα (λ = 1.5418 Å)), based on a crystal structure in Alexandria, relaxed with GGA-PBE.
Peak positions follow from Bragg's law for the DFT cell and can differ from measured ones.

Principal peaks in the range 2θ from 15° to 90°, low angle first:
- d = 2.923 Å, 30.58°, intensity 26
- d = 2.795 Å, 32.02°, intensity 54
- d = 2.755 Å, 32.51°, intensity 100
- d = 2.493 Å, 36.03°, intensity 19
- d = 1.598 Å, 57.69°, intensity 19
- d = 1.462 Å, 63.67°, intensity 29

Crystal structure
Lattice parameters (Å, degrees): 11.018 11.018 3.449 90.00 90.00 120.00
Atoms (fractional coordinates):
Ho (0.000, 0.000, 0.000)
Er (0.333, 0.667, 0.000)
Er (0.667, 0.333, 0.000)
Tm (0.000, 0.500, 0.000)
Tm (0.177, 0.354, 0.500)
Tm (0.177, 0.823, 0.500)
Tm (0.354, 0.177, 0.500)
Tm (0.500, 0.000, 0.000)
Tm (0.500, 0.500, 0.000)
Tm (0.646, 0.823, 0.500)
Tm (0.823, 0.177, 0.500)
Tm (0.823, 0.646, 0.500)



3.
HoOsW: calculated XRD peak list (Cu Kα (λ = 1.5418 Å)), based on a crystal structure in Alexandria, relaxed with GGA-PBE.
Peak positions follow from Bragg's law for the DFT cell and can differ from measured ones.

Principal peaks in the range 2θ from 15° to 90°, low angle first:
- d = 5.003 Å, 17.73°, intensity 29
- d = 2.502 Å, 35.90°, intensity 34
- d = 2.245 Å, 40.16°, intensity 100
- d = 2.034 Å, 44.55°, intensity 19
- d = 1.578 Å, 58.48°, intensity 17
- d = 1.390 Å, 67.40°, intensity 22

Crystal structure
Lattice parameters (Å, degrees): 3.195 4.068 5.003 90.00 90.00 90.00
Atoms (fractional coordinates):
Ho (0.000, 0.000, 0.000)
Os (0.500, 0.000, 0.500)
W (0.000, 0.500, 0.500)



4.
LiHo5Cd6: calculated XRD peak list (Cu Kα (λ = 1.5418 Å)), based on a crystal structure in Alexandria, relaxed with GGA-PBE.
Peak positions follow from Bragg's law for the DFT cell and can differ from measured ones.

Principal peaks in the range 2θ from 15° to 90°, low angle first:
- d = 2.605 Å, 34.42°, intensity 100
- d = 2.591 Å, 34.62°, intensity 50
- d = 1.832 Å, 49.77°, intensity 17
- d = 1.507 Å, 61.53°, intensity 17
- d = 1.499 Å, 61.91°, intensity 34
- d = 1.160 Å, 83.33°, intensity 11

Crystal structure
Lattice parameters (Å, degrees): 8.988 8.988 8.988 146.46 131.30 60.42
Atoms (fractional coordinates):
Li (0.000, 0.000, 0.000)
Ho (0.172, 0.672, 0.500)
Ho (0.335, 0.335, 0.000)
Ho (0.500, 0.000, 0.500)
Ho (0.665, 0.665, 0.000)
Ho (0.828, 0.328, 0.500)
Cd (0.075, 0.842, 0.233)
Cd (0.229, 0.500, 0.729)
Cd (0.392, 0.158, 0.233)
Cd (0.608, 0.842, 0.767)
Cd (0.771, 0.500, 0.271)
Cd (0.925, 0.158, 0.767)



5.
PrMg4Si2: calculated XRD peak list (Cu Kα (λ = 1.5418 Å)), based on a crystal structure in Alexandria, relaxed with GGA-PBE.
Peak positions follow from Bragg's law for the DFT cell and can differ from measured ones.

Principal peaks in the range 2θ from 15° to 90°, low angle first:
- d = 3.801 Å, 23.40°, intensity 36
- d = 2.978 Å, 30.01°, intensity 22
- d = 2.822 Å, 31.71°, intensity 100
- d = 2.663 Å, 33.65°, intensity 38
- d = 1.663 Å, 55.22°, intensity 18
- d = 1.566 Å, 58.97°, intensity 23

Crystal structure
Lattice parameters (Å, degrees): 8.422 8.422 4.260 90.00 90.00 90.00
Atoms (fractional coordinates):
Pr (0.000, 0.000, 0.000)
Pr (0.500, 0.500, 0.500)
Mg (0.093, 0.338, 0.500)
Mg (0.162, 0.593, 0.000)
Mg (0.338, 0.093, 0.500)
Mg (0.407, 0.838, 0.000)
Mg (0.593, 0.162, 0.000)
Mg (0.662, 0.907, 0.500)
Mg (0.838, 0.407, 0.000)
Mg (0.907, 0.662, 0.500)
Si (0.203, 0.797, 0.500)
Si (0.297, 0.297, 0.000)
Si (0.703, 0.703, 0.000)
Si (0.797, 0.203, 0.500)



6.
CaSiN2: calculated XRD peak list (Cu Kα (λ = 1.5418 Å)), based on a crystal structure in Alexandria, relaxed with GGA-PBE.
Peak positions follow from Bragg's law for the DFT cell and can differ from measured ones.

Principal peaks in the range 2θ from 15° to 90°, low angle first:
- d = 2.801 Å, 31.95°, intensity 61
- d = 2.785 Å, 32.13°, intensity 100
- d = 2.720 Å, 32.93°, intensity 67
- d = 2.108 Å, 42.90°, intensity 27
- d = 2.066 Å, 43.82°, intensity 25
- d = 1.961 Å, 46.29°, intensity 36

Crystal structure
Lattice parameters (Å, degrees): 6.157 6.157 6.842 90.00 90.00 127.57
Atoms (fractional coordinates):
Ca (0.176, 0.824, 0.928)
Ca (0.324, 0.676, 0.428)
Ca (0.676, 0.324, 0.572)
Ca (0.824, 0.176, 0.072)
Si (0.062, 0.938, 0.358)
Si (0.438, 0.562, 0.858)
Si (0.562, 0.438, 0.142)
Si (0.938, 0.062, 0.642)
N (0.097, 0.903, 0.610)
N (0.119, 0.381, 0.750)
N (0.381, 0.119, 0.250)
N (0.403, 0.597, 0.110)
N (0.597, 0.403, 0.890)
N (0.619, 0.881, 0.750)
N (0.881, 0.619, 0.250)
N (0.903, 0.097, 0.390)



7.
Rb2As2Pt: calculated XRD peak list (Cu Kα (λ = 1.5418 Å)), based on a crystal structure in Alexandria, relaxed with GGA-PBE.
Peak positions follow from Bragg's law for the DFT cell and can differ from measured ones.

Principal peaks in the range 2θ from 15° to 90°, low angle first:
- d = 3.383 Å, 26.35°, intensity 100
- d = 2.842 Å, 31.48°, intensity 38
- d = 2.776 Å, 32.24°, intensity 47
- d = 2.702 Å, 33.15°, intensity 37
- d = 2.495 Å, 36.00°, intensity 87
- d = 1.833 Å, 49.75°, intensity 38

Crystal structure
Lattice parameters (Å, degrees): 8.109 8.109 6.407 90.00 90.00 130.55
Atoms (fractional coordinates):
Rb (0.082, 0.918, 0.750)
Rb (0.294, 0.706, 0.250)
Rb (0.706, 0.294, 0.750)
Rb (0.918, 0.082, 0.250)
As (0.215, 0.423, 0.750)
As (0.423, 0.215, 0.250)
As (0.577, 0.785, 0.750)
As (0.785, 0.577, 0.250)
Pt (0.500, 0.500, 0.000)
Pt (0.500, 0.500, 0.500)



8.
YSiMo: calculated XRD peak list (Cu Kα (λ = 1.5418 Å)), based on a crystal structure in Alexandria, relaxed with GGA-PBE.
Peak positions follow from Bragg's law for the DFT cell and can differ from measured ones.

Principal peaks in the range 2θ from 15° to 90°, low angle first:
- d = 2.710 Å, 33.05°, intensity 15
- d = 2.571 Å, 34.90°, intensity 100
- d = 2.255 Å, 39.98°, intensity 30
- d = 1.970 Å, 46.08°, intensity 14
- d = 1.822 Å, 50.08°, intensity 11
- d = 1.486 Å, 62.51°, intensity 10

Crystal structure
Lattice parameters (Å, degrees): 8.122 8.122 3.643 90.00 90.00 90.00
Atoms (fractional coordinates):
Y (0.088, 0.732, 0.000)
Y (0.268, 0.088, 0.500)
Y (0.732, 0.912, 0.500)
Y (0.912, 0.268, 0.000)
Si (0.141, 0.447, 0.500)
Si (0.447, 0.859, 0.000)
Si (0.553, 0.141, 0.000)
Si (0.859, 0.553, 0.500)
Mo (0.349, 0.390, 0.000)
Mo (0.390, 0.651, 0.500)
Mo (0.610, 0.349, 0.500)
Mo (0.651, 0.610, 0.000)